[1]
Structure and calculated XRD peak list of Ac4Mg5Ru2 (DFT lattice parameters and positions (GGA-PBE); copper Kα).

Main lines, by angle (10° ≤ 2θ ≤ 90°):
| two_theta | intensity |
| --- | --- |
| 11.05 | 100 |
| 19.92 | 35 |
| 29.71 | 47 |
| 30.63 | 61 |
| 31.32 | 50 |
| 34.28 | 55 |
| 35.21 | 45 |
| 44.49 | 40 |

Structural model:
a b c (Å): 8.0297 4.0743 10.2613
angles (deg): 90.00 94.01 90.00
Element x y z (fractional)
Ac1 0.1673 0.0000 0.3450
Ac2 0.2107 0.0000 0.9485
Ac3 0.7893 0.0000 0.0515
Ac4 0.8327 0.0000 0.6550
Mg1 0.1885 0.5000 0.6619
Mg2 0.4406 0.5000 0.1807
Mg3 0.5000 0.5000 0.5000
Mg4 0.5594 0.5000 0.8193
Mg5 0.8115 0.5000 0.3381
Ru1 0.0713 0.5000 0.1501
Ru2 0.9287 0.5000 0.8499


[2]
Structure and calculated XRD peak list of LaCeNi10 (DFT lattice parameters and positions (GGA-PBE); copper Kα).

Main lines, by angle (10° ≤ 2θ ≤ 90°):
| two_theta | intensity |
| --- | --- |
| 30.64 | 44 |
| 36.38 | 30 |
| 42.26 | 34 |
| 43.08 | 100 |
| 45.45 | 28 |
| 63.79 | 19 |
| 70.09 | 22 |
| 77.28 | 15 |

Structural model:
a b c (Å): 3.9911 4.9407 8.5502
angles (deg): 90.00 90.00 90.00
Element x y z (fractional)
La1 0.0000 0.0000 0.0000
Ce1 0.0000 0.5000 0.5000
Ni1 0.0000 0.0000 0.3392
Ni2 0.0000 0.0000 0.6608
Ni3 0.0000 0.5000 0.1746
Ni4 0.0000 0.5000 0.8254
Ni5 0.5000 0.0000 0.5000
Ni6 0.5000 0.2524 0.2546
Ni7 0.5000 0.2524 0.7454
Ni8 0.5000 0.5000 0.0000
Ni9 0.5000 0.7476 0.2546
Ni10 0.5000 0.7476 0.7454


[3]
Structure and calculated XRD peak list of K2CrOs (DFT lattice parameters and positions (GGA-PBE); copper Kα).

Main lines, by angle (10° ≤ 2θ ≤ 90°):
| two_theta | intensity |
| --- | --- |
| 17.69 | 77 |
| 26.67 | 85 |
| 27.62 | 50 |
| 32.55 | 100 |
| 35.72 | 67 |
| 36.30 | 69 |
| 45.29 | 60 |
| 47.71 | 48 |

Structural model:
a b c (Å): 4.3273 4.3273 10.0410
angles (deg): 92.83 92.83 41.66
Element x y z (fractional)
K1 0.0000 0.0000 0.0000
K2 0.2170 0.2170 0.5697
Cr1 0.7514 0.7514 0.2563
Os1 0.4687 0.4687 0.3154


[4]
Structure and calculated XRD peak list of LiY4Ti4S4O10 (DFT lattice parameters and positions (GGA-PBE); copper Kα).

Main lines, by angle (10° ≤ 2θ ≤ 90°):
| two_theta | intensity |
| --- | --- |
| 15.67 | 82 |
| 25.72 | 47 |
| 26.11 | 53 |
| 32.79 | 100 |
| 36.10 | 44 |
| 36.39 | 47 |
| 46.59 | 37 |
| 47.52 | 35 |

Structural model:
a b c (Å): 11.6371 11.6371 5.4630
angles (deg): 90.25 90.25 152.85
Element x y z (fractional)
Li1 0.0000 0.0000 0.0000
Y1 0.0836 0.4152 0.2490
Y2 0.4152 0.0836 0.2490
Y3 0.5848 0.9164 0.7510
Y4 0.9164 0.5848 0.7510
Ti1 0.1728 0.3371 0.7449
Ti2 0.3371 0.1728 0.7449
Ti3 0.6629 0.8272 0.2551
Ti4 0.8272 0.6629 0.2551
S1 0.0426 0.4519 0.7515
S2 0.4519 0.0426 0.7515
S3 0.5481 0.9574 0.2485
S4 0.9574 0.5481 0.2485
O1 0.0926 0.9074 0.0000
O2 0.1011 0.8989 0.5000
O3 0.2458 0.2458 0.7548
O4 0.3986 0.6014 0.0000
O5 0.3998 0.6002 0.5000
O6 0.6002 0.3998 0.5000
O7 0.6014 0.3986 0.0000
O8 0.7542 0.7542 0.2452
O9 0.8989 0.1011 0.5000
O10 0.9074 0.0926 0.0000


[5]
Structure and calculated XRD peak list of Pm2Nd2Er7 (DFT lattice parameters and positions (GGA-PBE); copper Kα).

Main lines, by angle (10° ≤ 2θ ≤ 90°):
| two_theta | intensity |
| --- | --- |
| 25.57 | 22 |
| 30.74 | 28 |
| 30.85 | 49 |
| 31.89 | 28 |
| 32.07 | 100 |
| 33.60 | 40 |
| 33.77 | 29 |
| 44.96 | 16 |

Structural model:
a b c (Å): 8.0770 8.0770 6.0741
angles (deg): 106.39 106.39 91.74
Element x y z (fractional)
Pm1 0.2103 0.7897 0.0000
Pm2 0.7897 0.2103 0.0000
Nd1 0.4016 0.4016 0.6890
Nd2 0.5984 0.5984 0.3110
Er1 0.0000 0.0000 0.5000
Er2 0.0651 0.5893 0.3235
Er3 0.2326 0.2326 0.0765
Er4 0.4107 0.9349 0.6765
Er5 0.5893 0.0651 0.3235
Er6 0.7674 0.7674 0.9235
Er7 0.9349 0.4107 0.6765


[6]
Structure and calculated XRD peak list of PmPr10Ho4 (DFT lattice parameters and positions (GGA-PBE); copper Kα).

Main lines, by angle (10° ≤ 2θ ≤ 90°):
| two_theta | intensity |
| --- | --- |
| 27.21 | 48 |
| 29.98 | 36 |
| 30.85 | 100 |
| 31.36 | 98 |
| 33.25 | 31 |
| 40.04 | 32 |
| 44.18 | 28 |
| 56.12 | 33 |

Structural model:
a b c (Å): 9.1108 9.1108 9.1108
angles (deg): 100.96 100.96 128.30
Element x y z (fractional)
Pm1 0.0000 0.0000 0.0000
Pr1 0.0721 0.2877 0.7844
Pr2 0.2500 0.7500 0.5000
Pr3 0.2877 0.0721 0.7844
Pr4 0.2877 0.5033 0.2156
Pr5 0.4967 0.7123 0.7844
Pr6 0.5033 0.2877 0.2156
Pr7 0.7123 0.4967 0.7844
Pr8 0.7123 0.9279 0.2156
Pr9 0.7500 0.2500 0.5000
Pr10 0.9279 0.7123 0.2156
Ho1 0.2317 0.2317 0.4633
Ho2 0.2317 0.7683 0.0000
Ho3 0.7683 0.2317 0.0000
Ho4 0.7683 0.7683 0.5367